This entry pairs a crystal structure of PrHo2Tl3Se6 with its simulated powder diffractogram. Radiation: Cu Ka. Structure: a crystal structure in Alexandria, relaxed with PBE.
Lines closer than 0.1° are merged.

Most intense lines, 2θ = 10–80°, by angle:
- 2θ = 22.90°, intensity 11
- 2θ = 25.47°, intensity 21
- 2θ = 28.77°, intensity 100
- 2θ = 39.52°, intensity 38
- 2θ = 42.71°, intensity 36
- 2θ = 52.32°, intensity 19
- 2θ = 59.59°, intensity 11
- 2θ = 65.20°, intensity 14
- 2θ = 69.75°, intensity 16
- 2θ = 76.06°, intensity 11

a = 7.3323 Å, b = 7.3323 Å, c = 8.1418 Å
α = 98.64°, β = 98.64°, γ = 119.98°
Sites, in units of the cell vectors:
Pr (0.0000, 0.0000, 0.0000)
Ho (0.3332, 0.6668, 0.0000)
Ho (0.6668, 0.3332, 0.0000)
Tl (0.1644, 0.8356, 0.5000)
Tl (0.5000, 0.5000, 0.5000)
Tl (0.8356, 0.1644, 0.5000)
Se (0.0690, 0.4136, 0.2069)
Se (0.2764, 0.2764, 0.7955)
Se (0.4136, 0.0690, 0.2069)
Se (0.5864, 0.9310, 0.7931)
Se (0.7236, 0.7236, 0.2045)
Se (0.9310, 0.5864, 0.7931)



This entry pairs a crystal structure of Pm8Tm2Mg with its simulated powder diffractogram. Radiation: Cu Ka. Structure: a crystal structure in Alexandria, relaxed with PBE.
Lines closer than 0.1° are merged.

Most intense lines, 2θ = 10–80°, by angle:
- 2θ = 10.83°, intensity 17
- 2θ = 27.26°, intensity 28
- 2θ = 31.32°, intensity 80
- 2θ = 31.64°, intensity 100
- 2θ = 32.77°, intensity 48
- 2θ = 32.90°, intensity 45
- 2θ = 47.12°, intensity 33
- 2θ = 57.79°, intensity 18
- 2θ = 58.16°, intensity 20
- 2θ = 62.95°, intensity 28

a = 8.4048 Å, b = 8.4048 Å, c = 5.4660 Å
α = 90.07°, β = 90.07°, γ = 103.66°
Sites, in units of the cell vectors:
Pm (0.0000, 0.0000, 0.0000)
Pm (0.0345, 0.3103, 0.4991)
Pm (0.0838, 0.5901, 0.0001)
Pm (0.3103, 0.0345, 0.4991)
Pm (0.3632, 0.6389, 0.5011)
Pm (0.5901, 0.0838, 0.0001)
Pm (0.6389, 0.3632, 0.5011)
Pm (0.6733, 0.6733, 0.0002)
Tm (0.7162, 0.9573, 0.5001)
Tm (0.9573, 0.7162, 0.5001)
Mg (0.3361, 0.3361, 0.0001)



This entry pairs a crystal structure of RbBaBi with its simulated powder diffractogram. Radiation: Cu Ka. Structure: a crystal structure in Alexandria, relaxed with PBE.
Lines closer than 0.1° are merged.

Most intense lines, 2θ = 10–80°, by angle:
- 2θ = 17.28°, intensity 32
- 2θ = 24.56°, intensity 73
- 2θ = 25.41°, intensity 100
- 2θ = 29.18°, intensity 47
- 2θ = 29.72°, intensity 89
- 2θ = 30.39°, intensity 64
- 2θ = 32.99°, intensity 30
- 2θ = 35.23°, intensity 44
- 2θ = 36.26°, intensity 30
- 2θ = 42.64°, intensity 34

a = 9.5969 Å, b = 5.8822 Å, c = 10.4927 Å
α = 90.00°, β = 90.00°, γ = 90.00°
Sites, in units of the cell vectors:
Rb (0.0153, 0.2500, 0.1765)
Rb (0.4847, 0.7500, 0.6765)
Rb (0.5153, 0.2500, 0.3235)
Rb (0.9847, 0.7500, 0.8235)
Ba (0.1548, 0.2500, 0.5834)
Ba (0.3452, 0.7500, 0.0834)
Ba (0.6548, 0.2500, 0.9166)
Ba (0.8452, 0.7500, 0.4166)
Bi (0.2176, 0.7500, 0.4000)
Bi (0.2824, 0.2500, 0.9000)
Bi (0.7176, 0.7500, 0.1000)
Bi (0.7824, 0.2500, 0.6000)